Record 1
For Tc, DFT lattice parameters and positions (GGA-PBE) gives the theoretical X-ray powder pattern in this record (Cu Kα, 1.54184 Å).
Neutral-atom scattering factors, no anomalous dispersion.

Main lines, by angle (10° ≤ 2θ ≤ 90°):
Position (°2θ)  I_rel
37.7  24
40.8  26
43.1  100
68.0  17
75.8  18
82.5  19

Crystal structure
```
data_Tc
_chemical_formula_sum 'Tc2'
_symmetry_space_group_name_H-M 'P -3 m 1'
_symmetry_Int_Tables_number 164
_symmetry_space_group_name_Hall '-P 3 2"'
_cell_length_a 2.7568
_cell_length_b 2.7568
_cell_length_c 4.4230
_cell_angle_alpha 90.00
_cell_angle_beta 90.00
_cell_angle_gamma 120.00
loop_
_atom_site_label
_atom_site_fract_x
_atom_site_fract_y
_atom_site_fract_z
Tc1 0.3333 0.6667 0.2507
```

---

Record 2
For Sr2TlSe2O6, DFT lattice parameters and positions (GGA-PBE) gives the theoretical X-ray powder pattern in this record (Cu Kα, 1.54184 Å).
Neutral-atom scattering factors, no anomalous dispersion.

Main lines, by angle (10° ≤ 2θ ≤ 90°):
Position (°2θ)  I_rel
14.0  42
19.8  49
28.1  52
28.2  51
29.4  49
30.1  100

Crystal structure
```
data_Sr2TlSe2O6
_chemical_formula_sum 'Sr2 Tl1 Se2 O6'
_symmetry_space_group_name_H-M 'P -1'
_symmetry_Int_Tables_number 2
_cell_length_a 6.0698
_cell_length_b 6.7113
_cell_length_c 6.8378
_cell_angle_alpha 109.36
_cell_angle_beta 90.09
_cell_angle_gamma 116.65
loop_
_symmetry_equiv_pos_as_xyz
'x,y,z'
'-x,-y,-z'
loop_
_atom_site_label
_atom_site_fract_x
_atom_site_fract_y
_atom_site_fract_z
Sr1 0.1524 0.3039 0.3173
Tl1 0.5000 0.0000 0.0000
Se1 0.2089 0.4159 0.8335
O1 0.0324 0.6285 0.3388
O2 0.0809 0.1579 0.8962
O3 0.4053 0.3711 0.6610
```

---

Record 3
For Hg2HPd4, DFT lattice parameters and positions (GGA-PBE) gives the theoretical X-ray powder pattern in this record (Cu Kα, 1.54184 Å).
Neutral-atom scattering factors, no anomalous dispersion.

Main lines, by angle (10° ≤ 2θ ≤ 90°):
Position (°2θ)  I_rel
35.9  100
36.2  71
38.3  80
40.4  60
43.5  47
44.5  53

Crystal structure
```
data_Hg2HPd4
_chemical_formula_sum 'Hg8 H4 Pd16'
_symmetry_space_group_name_H-M 'P n m a'
_symmetry_Int_Tables_number 62
_cell_length_a 7.7545
_cell_length_b 5.6842
_cell_length_c 9.9339
_cell_angle_alpha 90.00
_cell_angle_beta 90.00
_cell_angle_gamma 90.00
loop_
_symmetry_equiv_pos_as_xyz
'x,y,z'
'-x,-y,-z'
'-x+1/2,-y,z+1/2'
'x+1/2,y,-z+1/2'
'x+1/2,-y+1/2,-z+1/2'
'-x+1/2,y+1/2,z+1/2'
'-x,y+1/2,-z'
'x,-y+1/2,z'
loop_
_atom_site_label
_atom_site_fract_x
_atom_site_fract_y
_atom_site_fract_z
Hg1 0.0133 0.2500 0.1388
Hg2 0.1510 0.7500 0.4036
H1 0.2318 0.7500 0.0684
Pd1 0.0113 0.7500 0.1379
Pd2 0.1541 0.2500 0.4026
Pd3 0.1700 0.5024 0.6589
```

---

Record 4
For Pr2Zn2Hg3, DFT lattice parameters and positions (GGA-PBE) gives the theoretical X-ray powder pattern in this record (Cu Kα, 1.54184 Å).
Neutral-atom scattering factors, no anomalous dispersion.

Main lines, by angle (10° ≤ 2θ ≤ 90°):
Position (°2θ)  I_rel
29.2  24
31.5  100
35.5  57
36.2  56
39.8  26
54.4  34

Crystal structure
```
data_Pr2Zn2Hg3
_chemical_formula_sum 'Pr4 Zn4 Hg6'
_symmetry_space_group_name_H-M 'C m m m'
_symmetry_Int_Tables_number 65
_symmetry_space_group_name_Hall '-C 2 2'
_cell_length_a 4.5251
_cell_length_b 20.8022
_cell_length_c 3.6995
_cell_angle_alpha 90.00
_cell_angle_beta 90.00
_cell_angle_gamma 90.00
loop_
_atom_site_label
_atom_site_fract_x
_atom_site_fract_y
_atom_site_fract_z
Pr1 0.0000 0.1606 0.0000
Zn1 0.0000 0.2808 0.5000
Hg1 0.0000 0.0000 0.0000
Hg2 0.0000 0.4244 0.5000
```

---

Record 5
For Hf3GeTe3, DFT lattice parameters and positions (GGA-PBE) gives the theoretical X-ray powder pattern in this record (Cu Kα, 1.54184 Å).
Neutral-atom scattering factors, no anomalous dispersion.

Main lines, by angle (10° ≤ 2θ ≤ 90°):
Position (°2θ)  I_rel
29.7  24
31.8  100
45.6  71
56.7  24
75.6  27
84.3  20

Crystal structure
```
data_Hf3GeTe3
_chemical_formula_sum 'Hf24 Ge8 Te24'
_symmetry_space_group_name_H-M 'I 41 3 2'
_symmetry_Int_Tables_number 214
_symmetry_space_group_name_Hall 'I 4bd 2c 3'
_cell_length_a 11.2507
_cell_length_b 11.2507
_cell_length_c 11.2507
_cell_angle_alpha 90.00
_cell_angle_beta 90.00
_cell_angle_gamma 90.00
loop_
_atom_site_label
_atom_site_fract_x
_atom_site_fract_y
_atom_site_fract_z
Hf1 0.1123 0.3623 0.1250
Ge1 0.1250 0.1250 0.1250
Te1 0.1177 0.1323 0.6250
```

---

Record 6
For ZrCu, DFT lattice parameters and positions (GGA-PBE) gives the theoretical X-ray powder pattern in this record (Cu Kα, 1.54184 Å).
Neutral-atom scattering factors, no anomalous dispersion.

Main lines, by angle (10° ≤ 2θ ≤ 90°):
Position (°2θ)  I_rel
34.1  33
38.2  100
42.1  38
52.1  21
66.5  37
74.3  14

Crystal structure
```
data_ZrCu
_chemical_formula_sum 'Zr4 Cu4'
_symmetry_space_group_name_H-M 'P 21 3'
_symmetry_Int_Tables_number 198
_symmetry_space_group_name_Hall 'P 2ac 2ab 3'
_cell_length_a 5.2629
_cell_length_b 5.2629
_cell_length_c 5.2629
_cell_angle_alpha 90.00
_cell_angle_beta 90.00
_cell_angle_gamma 90.00
loop_
_atom_site_label
_atom_site_fract_x
_atom_site_fract_y
_atom_site_fract_z
Zr1 0.0755 0.0755 0.0755
Cu1 0.0905 0.5905 0.9095
```